# 1
SnBi5Ir3: theoretical X-ray powder pattern (CuKα), based on the PBE geometry in Alexandria.
Kinematic intensities with the Lorentz-polarization factor, no thermal factor.

Largest 10 diffraction maxima, low angle first, 2θ from 15° to 90°:
hkl 1 1 1, 2θ = 27.4°, I = 86.4; hkl 1 1 2, 2θ = 28.5°, I = 58.5; hkl 1 1 -4, 2θ = 32.2°, I = 63.2; hkl 2 0 1, 2θ = 33.3°, I = 63.7; hkl 1 1 -6, 2θ = 37.7°, I = 63.4; hkl 1 1 6, 2θ = 37.9°, I = 98.3; hkl 2 1 -3, 2θ = 41.8°, I = 90.2; hkl 2 1 3, 2θ = 42.0°, I = 65.4; hkl 0 2 0, 2θ = 43.8°, I = 100.0; hkl 0 1 9, 2θ = 45.1°, I = 65.8

Crystal structure
```
data_SnBi5Ir3
_cell_length_a 5.4373
_cell_length_b 4.1353
_cell_length_c 20.6854
_cell_angle_alpha 90.00
_cell_angle_beta 90.47
_cell_angle_gamma 90.00
_space_group_name_H-M_alt 'P 1 2/m 1'
_space_group_IT_number 10
loop_
_space_group_symop_operation_xyz
'x,y,z'
'-x,-y,-z'
'-x,y,-z'
'x,-y,z'
loop_
_atom_site_label
_atom_site_type_symbol
_atom_site_fract_x
_atom_site_fract_y
_atom_site_fract_z
Sn1 Sn 0.2461 0.0000 0.2731
Bi1 Bi 0.0411 0.0000 0.4258
Bi2 Bi 0.2136 0.5000 0.7831
Bi3 Bi 0.2216 0.5000 0.1194
Bi4 Bi 0.2815 0.0000 0.9526
Bi5 Bi 0.4587 0.5000 0.5960
Ir1 Ir 0.0000 0.5000 0.0000
Ir2 Ir 0.0450 0.5000 0.3358
Ir3 Ir 0.4931 0.0000 0.8307
Ir4 Ir 0.5000 0.0000 0.5000
```


# 2
Te2Pd3: theoretical X-ray powder pattern (CuKα), based on the PBE geometry in Alexandria.
Kinematic intensities with the Lorentz-polarization factor, no thermal factor.

Largest 10 diffraction maxima, low angle first, 2θ from 15° to 90°:
hkl 0 1 2, 2θ = 18.6°, I = 32.6; hkl 1 1 0, 2θ = 26.1°, I = 44.1; hkl 1 1 3, 2θ = 31.1°, I = 100.0; hkl 0 0 6, 2θ = 33.6°, I = 59.6; hkl 0 2 4, 2θ = 37.8°, I = 83.8; hkl 2 1 1, 2θ = 40.7°, I = 59.2; hkl 3 0 0, 2θ = 46.0°, I = 40.5; hkl 2 1 4, 2θ = 46.5°, I = 99.9; hkl 0 1 8, 2θ = 48.0°, I = 38.7; hkl 1 2 5, 2θ = 49.7°, I = 33.0

Crystal structure
```
data_Te2Pd3
_cell_length_a 6.8305
_cell_length_b 6.8305
_cell_length_c 16.0144
_cell_angle_alpha 90.00
_cell_angle_beta 90.00
_cell_angle_gamma 120.00
_space_group_name_H-M_alt 'R -3 c'
_space_group_IT_number 167
_space_group_name_Hall '-R 3 2"c'
loop_
_atom_site_label
_atom_site_type_symbol
_atom_site_fract_x
_atom_site_fract_y
_atom_site_fract_z
Te1 Te 0.0000 0.0000 0.1137
Pd1 Pd 0.0000 0.2405 0.2500
```


# 3
Cs2Ba2O3: theoretical X-ray powder pattern (CuKα), based on the PBE geometry in Alexandria.
Kinematic intensities with the Lorentz-polarization factor, no thermal factor.

Largest 10 diffraction maxima, low angle first, 2θ from 15° to 90°:
hkl 1 1 1, 2θ = 25.3°, I = 30.7; hkl 1 2 -1, 2θ = 26.5°, I = 100.0; hkl 2 0 -2, 2θ = 26.9°, I = 49.3; hkl 0 1 2, 2θ = 28.4°, I = 38.8; hkl 2 1 0, 2θ = 29.0°, I = 48.7; hkl 1 2 1, 2θ = 32.2°, I = 17.5; hkl 3 1 -1, 2θ = 37.7°, I = 16.5; hkl 1 3 1, 2θ = 41.5°, I = 19.4; hkl 3 2 -3, 2θ = 47.3°, I = 22.5; hkl 4 1 -2, 2θ = 49.2°, I = 17.9

Crystal structure
```
data_Cs2Ba2O3
_cell_length_a 7.6303
_cell_length_b 7.8159
_cell_length_c 7.8062
_cell_angle_alpha 90.00
_cell_angle_beta 118.43
_cell_angle_gamma 90.00
_space_group_name_H-M_alt 'P 1 21/c 1'
_space_group_IT_number 14
loop_
_space_group_symop_operation_xyz
'x,y,z'
'-x,-y,-z'
'-x,y+1/2,-z+1/2'
'x,-y+1/2,z+1/2'
loop_
_atom_site_label
_atom_site_type_symbol
_atom_site_fract_x
_atom_site_fract_y
_atom_site_fract_z
Cs1 Cs 0.1517 0.1518 0.4152
Ba1 Ba 0.3361 0.6240 0.5731
O1 O 0.0000 0.0000 0.0000
O2 O 0.3680 0.5882 0.2520
```